[1]
Sr2LiYbUO6: theoretical powder diffractogram (Cu Kα), based on a crystal structure in Alexandria, relaxed with GGA-PBE.
Peak positions follow from Bragg's law for the DFT cell and can differ from measured ones.

Peak list (10 most intense, 2θ = 10–80°, in order of rising 2θ)
2θ 19.17, intensity 26.4; 2θ 20.41, intensity 28.9; 2θ 28.14, intensity 100.0; 2θ 28.92, intensity 29.7; 2θ 29.11, intensity 29.3; 2θ 41.50, intensity 34.6; 2θ 44.32, intensity 22.6; 2θ 50.78, intensity 20.5; 2θ 51.01, intensity 20.2; 2θ 58.19, intensity 13.4

Structural model:
Lattice parameters (Å, degrees): 6.3540 6.3540 6.3540 122.27 121.86 86.46
Fractional positions:
1 Sr 0.1876 0.1876 0.0000
2 Sr 0.8124 0.8124 0.0000
3 Li 0.5000 0.5000 0.0000
4 Yb 0.0000 0.5000 0.5000
5 U 0.5000 0.0000 0.5000
6 O 0.2513 0.2417 0.4930
7 O 0.2513 0.7583 0.0095
8 O 0.2630 0.7630 0.5000
9 O 0.7370 0.2370 0.5000
10 O 0.7487 0.2417 0.9905
11 O 0.7487 0.7583 0.5070


[2]
Sr2LiYbUO6: theoretical powder diffractogram (Cu Kα), based on a crystal structure in Alexandria, relaxed with GGA-PBE.
Peak positions follow from Bragg's law for the DFT cell and can differ from measured ones.

Peak list (10 most intense, 2θ = 10–80°, in order of rising 2θ)
2θ 19.82, intensity 84.4; 2θ 26.99, intensity 71.1; 2θ 29.32, intensity 100.0; 2θ 40.27, intensity 40.9; 2θ 43.70, intensity 57.1; 2θ 46.80, intensity 17.8; 2θ 50.58, intensity 27.2; 2θ 52.00, intensity 20.9; 2θ 60.81, intensity 18.6; 2θ 62.17, intensity 20.2

Structural model:
Lattice parameters (Å, degrees): 6.6560 6.6560 6.6560 54.47 54.47 54.47
Fractional positions:
1 Sr 0.0000 0.0000 0.0000
2 Sr 0.4747 0.4747 0.4747
3 Li 0.8242 0.8242 0.8242
4 Yb 0.1940 0.1940 0.1940
5 U 0.6752 0.6752 0.6752
6 O 0.4405 0.9224 0.9224
7 O 0.4417 0.4417 0.9030
8 O 0.4417 0.9030 0.4417
9 O 0.9030 0.4417 0.4417
10 O 0.9224 0.4405 0.9224
11 O 0.9224 0.9224 0.4405